# Hf5FePt2
Theoretical powder XRD pattern, a wavelength of 1.5418 Å. Input: DFT lattice parameters and positions (GGA-PBE).
Intensities are scaled so that the largest is 1000.

Structure:
```
Hf5FePt2
1.0
7.7348 0.0000 0.0000
0.0000 11.1034 0.0000
0.0000 0.0000 3.6249
Hf Fe Pt
10 2 4
Direct
0.0000 0.0000 0.0000 Hf
0.1511 0.2971 0.0000 Hf
0.1820 0.5761 0.5000 Hf
0.3180 0.0761 0.5000 Hf
0.3489 0.7971 0.0000 Hf
0.5000 0.5000 0.0000 Hf
0.6511 0.2029 0.0000 Hf
0.6820 0.9239 0.5000 Hf
0.8180 0.4239 0.5000 Hf
0.8489 0.7029 0.0000 Hf
0.0000 0.5000 0.0000 Fe
0.5000 0.0000 0.0000 Fe
0.0674 0.8244 0.5000 Pt
0.4326 0.3244 0.5000 Pt
0.5674 0.6756 0.5000 Pt
0.9326 0.1756 0.5000 Pt
```

Largest 8 diffraction maxima, in order of falling intensity, 2θ = 10–80°:
| (hkl) | 2theta | d/Å | Rel. int. |
| --- | --- | --- | --- |
| 2 1 1 | 34.87 | 2.573 | 1000 |
| 1 3 1 | 36.59 | 2.456 | 740 |
| 2 2 1 | 37.67 | 2.388 | 627 |
| 1 4 0 | 34.32 | 2.613 | 552 |
| 0 0 2 | 50.35 | 1.812 | 321 |
| 3 1 0 | 35.75 | 2.511 | 307 |
| 0 4 1 | 40.95 | 2.204 | 238 |
| 1 2 1 | 31.67 | 2.825 | 230 |